Simulated PXRD pattern of NdTlCd3 for Cu Kα X-rays, from DFT lattice parameters and positions (GGA-PBE).

Structural model:
```
data_NdTlCd3
_chemical_formula_sum 'Nd2 Tl2 Cd6'
_symmetry_space_group_name_H-M 'P 1'
_symmetry_Int_Tables_number 1
_symmetry_space_group_name_Hall 'P 1'
_cell_length_a 10.515
_cell_length_b 10.515
_cell_length_c 5.365
_cell_angle_alpha 90.00
_cell_angle_beta 90.00
_cell_angle_gamma 148.31
loop_
_atom_site_label
_atom_site_fract_x
_atom_site_fract_y
_atom_site_fract_z
_atom_site_occupancy
Nd1 0.147 0.853 0.750 1
Nd2 0.853 0.147 0.250 1
Tl1 0.439 0.561 0.750 1
Tl2 0.561 0.439 0.250 1
Cd1 0.000 0.000 0.000 1
Cd2 0.000 0.000 0.500 1
Cd3 0.041 0.458 0.750 1
Cd4 0.458 0.041 0.250 1
Cd5 0.542 0.959 0.750 1
Cd6 0.959 0.542 0.250 1
```

Top 6 peaks for 10 to 80 degrees two-theta, low angle first:
23.11°, I 656; 26.29°, I 735; 31.33°, I 992; 32.41°, I 695; 39.40°, I 729; 39.82°, I 1000

---

Simulated PXRD pattern of Th2FeCl for Cu Kα X-rays, from DFT lattice parameters and positions (GGA-PBE).

Structural model:
```
data_Th2FeCl
_chemical_formula_sum 'Th2 Fe1 Cl1'
_symmetry_space_group_name_H-M 'P 1'
_symmetry_Int_Tables_number 1
_symmetry_space_group_name_Hall 'P 1'
_cell_length_a 3.933
_cell_length_b 3.933
_cell_length_c 7.790
_cell_angle_alpha 90.00
_cell_angle_beta 90.00
_cell_angle_gamma 120.00
loop_
_atom_site_label
_atom_site_fract_x
_atom_site_fract_y
_atom_site_fract_z
_atom_site_occupancy
Th1 0.333 0.667 0.187 1
Th2 0.667 0.333 0.813 1
Fe1 0.000 0.000 0.000 1
Cl1 0.000 0.000 0.500 1
```

Top 6 peaks for 10 to 80 degrees two-theta, low angle first:
11.36°, I 396; 28.60°, I 1000; 35.00°, I 632; 46.16°, I 307; 54.26°, I 211; 78.24°, I 212

---

Simulated PXRD pattern of BaAl4Se7 for Cu Kα X-rays, from DFT lattice parameters and positions (GGA-PBE).

Structural model:
```
data_BaAl4Se7
_chemical_formula_sum 'Ba2 Al8 Se14'
_symmetry_space_group_name_H-M 'P 1'
_symmetry_Int_Tables_number 1
_symmetry_space_group_name_Hall 'P 1'
_cell_length_a 7.735
_cell_length_b 6.633
_cell_length_c 15.006
_cell_angle_alpha 90.00
_cell_angle_beta 120.86
_cell_angle_gamma 90.00
loop_
_atom_site_label
_atom_site_fract_x
_atom_site_fract_y
_atom_site_fract_z
_atom_site_occupancy
Ba1 0.000 0.130 0.000 1
Ba2 0.000 0.870 0.500 1
Al1 0.438 0.472 0.958 1
Al2 0.438 0.528 0.458 1
Al3 0.448 0.352 0.698 1
Al4 0.448 0.648 0.198 1
Al5 0.670 0.121 0.175 1
Al6 0.670 0.879 0.675 1
Al7 0.928 0.360 0.681 1
Al8 0.928 0.640 0.181 1
Se1 0.228 0.368 0.514 1
Se2 0.228 0.632 0.014 1
Se3 0.260 0.471 0.266 1
Se4 0.260 0.529 0.766 1
Se5 0.434 0.121 0.993 1
Se6 0.434 0.879 0.493 1
Se7 0.539 0.026 0.774 1
Se8 0.539 0.974 0.274 1
Se9 0.763 0.461 0.259 1
Se10 0.763 0.539 0.759 1
Se11 0.766 0.419 0.499 1
Se12 0.766 0.581 0.999 1
Se13 0.994 0.012 0.723 1
Se14 0.994 0.988 0.223 1
```

Top 6 peaks for 10 to 80 degrees two-theta, low angle first:
26.88°, I 188; 27.58°, I 397; 27.73°, I 897; 30.13°, I 1000; 44.51°, I 194; 47.36°, I 172

---

Simulated PXRD pattern of LaMg12Ni5 for Cu Kα X-rays, from DFT lattice parameters and positions (GGA-PBE).

Structural model:
```
data_LaMg12Ni5
_chemical_formula_sum 'La1 Mg12 Ni5'
_symmetry_space_group_name_H-M 'P 1'
_symmetry_Int_Tables_number 1
_symmetry_space_group_name_Hall 'P 1'
_cell_length_a 7.739
_cell_length_b 7.739
_cell_length_c 7.739
_cell_angle_alpha 117.08
_cell_angle_beta 112.38
_cell_angle_gamma 99.44
loop_
_atom_site_label
_atom_site_fract_x
_atom_site_fract_y
_atom_site_fract_z
_atom_site_occupancy
La1 0.000 0.000 0.000 1
Mg1 0.128 0.816 0.312 1
Mg2 0.234 0.322 0.557 1
Mg3 0.234 0.678 0.912 1
Mg4 0.278 0.087 0.809 1
Mg5 0.278 0.469 0.191 1
Mg6 0.496 0.184 0.312 1
Mg7 0.504 0.816 0.688 1
Mg8 0.722 0.531 0.809 1
Mg9 0.722 0.913 0.191 1
Mg10 0.766 0.322 0.088 1
Mg11 0.766 0.678 0.443 1
Mg12 0.872 0.184 0.688 1
Ni1 0.117 0.617 0.500 1
Ni2 0.500 0.148 0.648 1
Ni3 0.500 0.500 0.000 1
Ni4 0.500 0.852 0.352 1
Ni5 0.883 0.383 0.500 1
```

Top 6 peaks for 10 to 80 degrees two-theta, low angle first:
17.73°, I 708; 20.63°, I 961; 25.94°, I 556; 35.36°, I 822; 35.84°, I 1000; 39.42°, I 876

---

Simulated PXRD pattern of Tb2Pr7Tl2 for Cu Kα X-rays, from DFT lattice parameters and positions (GGA-PBE).

Structural model:
```
data_Tb2Pr7Tl2
_chemical_formula_sum 'Tb2 Pr7 Tl2'
_symmetry_space_group_name_H-M 'P 1'
_symmetry_Int_Tables_number 1
_symmetry_space_group_name_Hall 'P 1'
_cell_length_a 11.646
_cell_length_b 11.646
_cell_length_c 11.646
_cell_angle_alpha 161.56
_cell_angle_beta 54.58
_cell_angle_gamma 129.12
loop_
_atom_site_label
_atom_site_fract_x
_atom_site_fract_y
_atom_site_fract_z
_atom_site_occupancy
Tb1 0.000 0.000 0.000 1
Tb2 0.673 0.173 0.500 1
Pr1 0.002 0.635 0.367 1
Pr2 0.268 0.635 0.633 1
Pr3 0.345 0.007 0.338 1
Pr4 0.350 0.350 0.000 1
Pr5 0.669 0.007 0.662 1
Pr6 0.680 0.809 0.870 1
Pr7 0.939 0.809 0.130 1
Tl1 0.048 0.291 0.757 1
Tl2 0.535 0.291 0.243 1
```

Top 6 peaks for 10 to 80 degrees two-theta, low angle first:
29.75°, I 535; 30.19°, I 330; 30.87°, I 1000; 31.50°, I 178; 32.63°, I 329; 34.67°, I 255

---

Simulated PXRD pattern of Pm2HoTe2S2 for Cu Kα X-rays, from DFT lattice parameters and positions (GGA-PBE).

Structural model:
```
data_Pm2HoTe2S2
_chemical_formula_sum 'Pm2 Ho1 Te2 S2'
_symmetry_space_group_name_H-M 'P 1'
_symmetry_Int_Tables_number 1
_symmetry_space_group_name_Hall 'P 1'
_cell_length_a 8.752
_cell_length_b 8.752
_cell_length_c 8.752
_cell_angle_alpha 146.54
_cell_angle_beta 146.54
_cell_angle_gamma 48.04
loop_
_atom_site_label
_atom_site_fract_x
_atom_site_fract_y
_atom_site_fract_z
_atom_site_occupancy
Pm1 0.115 0.115 0.000 1
Pm2 0.885 0.885 0.000 1
Ho1 0.500 0.500 0.000 1
Te1 0.313 0.313 0.000 1
Te2 0.687 0.687 0.000 1
S1 0.000 0.500 0.500 1
S2 0.500 0.000 0.500 1
```

Top 6 peaks for 10 to 80 degrees two-theta, low angle first:
24.99°, I 985; 33.18°, I 1000; 35.64°, I 576; 49.48°, I 649; 51.28°, I 202; 57.87°, I 198